Simulated powder X-ray diffraction pattern
Compound: Ba2Cr5S10
Radiation: Cu Kα (weighted mean of Kα1 and Kα2)
Structure: a structure optimized by DFT (GGA-PBE)
No peak broadening, texture or thermal motion is included.

Structure:
```
data_Ba2Cr5S10
_chemical_formula_sum 'Ba4 Cr10 S20'
_cell_length_a 5.9208
_cell_length_b 6.8348
_cell_length_c 17.4600
_cell_angle_alpha 95.40
_cell_angle_beta 91.89
_cell_angle_gamma 90.05
_symmetry_space_group_name_H-M 'P -1'
_symmetry_Int_Tables_number 2
_symmetry_space_group_name_Hall '-P 1'
loop_
_atom_site_label
_atom_site_type_symbol
_atom_site_fract_x
_atom_site_fract_y
_atom_site_fract_z
Ba1 Ba 0.1346 0.1836 0.2320
Ba2 Ba 0.2473 0.7619 0.5472
Cr1 Cr 0.0874 0.2904 0.6650
Cr2 Cr 0.2284 0.3306 0.8295
Cr3 Cr 0.2572 0.3776 0.0103
Cr4 Cr 0.2669 0.8756 0.0022
Cr5 Cr 0.4057 0.7085 0.3308
S1 S 0.0808 0.1110 0.9274
S2 S 0.0894 0.6028 0.9234
S3 S 0.1418 0.6818 0.2212
S4 S 0.1648 0.4836 0.3857
S5 S 0.1654 0.9601 0.3857
S6 S 0.3316 0.2657 0.5631
S7 S 0.3449 0.0785 0.7361
S8 S 0.3462 0.5364 0.7356
S9 S 0.4278 0.1414 0.0806
S10 S 0.4430 0.6466 0.0807
```

Principal peaks in the range 2θ from 10° to 90°, most intense first:
2θ/deg  intensity
33.10  100
26.21  52
34.97  49
53.64  43
21.01  33
35.11  30
27.71  29
36.16  29
22.01  28
34.01  27